Entry 1:
Simulated PXRD pattern of Na2CeCd9 for Cu Ka, from a crystal structure in Alexandria, relaxed with PBE.
Lines closer than 0.1° are merged.

Peak list (10 most intense, 5° ≤ 2θ ≤ 70°, most intense first)
(1 1 6), 2.529 Å, 35.50°, rel. 100
(2 0 5), 2.347 Å, 38.35°, rel. 31
(0 0 12), 2.438 Å, 36.86°, rel. 30
(1 0 1), 5.048 Å, 17.57°, rel. 28
(0 2 7), 2.185 Å, 41.31°, rel. 24
(0 2 1), 2.553 Å, 35.16°, rel. 22
(0 0 3), 9.754 Å, 9.07°, rel. 21
(0 3 6), 1.612 Å, 57.13°, rel. 20
(2 2 0), 1.479 Å, 62.81°, rel. 20
(1 0 4), 4.197 Å, 21.17°, rel. 14

Structural model:
```
data_Na2CeCd9
_space_group_name_H-M_alt 'R -3 m'
_space_group_IT_number 166
_space_group_name_Hall '-R 3 2"'
_cell_length_a 5.9179
_cell_length_b 5.9179
_cell_length_c 29.2612
_cell_angle_alpha 90.00
_cell_angle_beta 90.00
_cell_angle_gamma 120.00
loop_
_atom_site_label
_atom_site_type_symbol
_atom_site_fract_x
_atom_site_fract_y
_atom_site_fract_z
Na1 Na 0.0000 0.0000 0.1430
Ce1 Ce 0.0000 0.0000 0.0000
Cd1 Cd 0.0000 0.0000 0.3346
Cd2 Cd 0.0000 0.0000 0.5000
Cd3 Cd 0.0055 0.5027 0.9150
```



Entry 2:
Simulated PXRD pattern of Ta3Mo5 for Cu Ka, from a crystal structure in Alexandria, relaxed with PBE.
Lines closer than 0.1° are merged.

Peak list (10 most intense, 5° ≤ 2θ ≤ 70°, most intense first)
(2 2 1), 2.272 Å, 39.67°, rel. 100
(0 4 2), 1.605 Å, 57.39°, rel. 11
(2 0 0), 3.213 Å, 27.76°, rel. 7
(4 0 0), 1.609 Å, 57.26°, rel. 6
(4 2 1), 1.437 Å, 64.87°, rel. 2
(2 4 0), 1.855 Å, 49.11°, rel. 2
(1 1 0), 5.252 Å, 16.88°, rel. 2
(1 1 1), 3.434 Å, 25.95°, rel. 1
(0 2 0), 4.541 Å, 19.55°, rel. 1
(2 0 1), 2.626 Å, 34.15°, rel. 1

Structural model:
```
data_Ta3Mo5
_space_group_name_H-M_alt 'C m m m'
_space_group_IT_number 65
_space_group_name_Hall '-C 2 2'
_cell_length_a 6.4358
_cell_length_b 9.0868
_cell_length_c 4.5386
_cell_angle_alpha 90.00
_cell_angle_beta 90.00
_cell_angle_gamma 90.00
loop_
_atom_site_label
_atom_site_type_symbol
_atom_site_fract_x
_atom_site_fract_y
_atom_site_fract_z
Ta1 Ta 0.0000 0.0000 0.0000
Ta2 Ta 0.0000 0.2490 0.5000
Mo1 Mo 0.0000 0.5000 0.0000
Mo2 Mo 0.2470 0.5000 0.5000
Mo3 Mo 0.2500 0.2500 0.0000
```



Entry 3:
Simulated PXRD pattern of RbPaCl14 for Cu Ka, from a crystal structure in Alexandria, relaxed with PBE.
Lines closer than 0.1° are merged.

Peak list (10 most intense, 5° ≤ 2θ ≤ 70°, most intense first)
(1 0 0), 7.079 Å, 12.50°, rel. 100
(0 0 1), 10.367 Å, 8.53°, rel. 91
(1 0 -1), 6.173 Å, 14.35°, rel. 73
(0 1 1), 5.686 Å, 15.58°, rel. 64
(1 0 1), 5.565 Å, 15.92°, rel. 51
(0 0 2), 5.183 Å, 17.11°, rel. 46
(1 -2 0), 4.296 Å, 20.68°, rel. 36
(0 2 -2), 3.383 Å, 26.35°, rel. 32
(2 -2 2), 3.006 Å, 29.72°, rel. 30
(3 -2 1), 2.546 Å, 35.26°, rel. 28

Structural model:
```
data_RbPaCl14
_space_group_name_H-M_alt 'P 1'
_space_group_IT_number 1
_space_group_name_Hall 'P 1'
_cell_length_a 7.9972
_cell_length_b 8.7149
_cell_length_c 10.5458
_cell_angle_alpha 98.47
_cell_angle_beta 91.76
_cell_angle_gamma 117.06
loop_
_atom_site_label
_atom_site_type_symbol
_atom_site_fract_x
_atom_site_fract_y
_atom_site_fract_z
Rb1 Rb 0.0000 0.0000 0.0000
Pa1 Pa 0.9973 0.4985 0.0121
Cl1 Cl 0.0081 0.7103 0.2112
Cl2 Cl 0.1989 0.5843 0.5389
Cl3 Cl 0.2401 0.7645 0.9272
Cl4 Cl 0.2611 0.4536 0.1148
Cl5 Cl 0.3313 0.8968 0.5917
Cl6 Cl 0.3322 0.3963 0.4591
Cl7 Cl 0.3484 0.1854 0.3486
Cl8 Cl 0.4116 0.1334 0.7155
Cl9 Cl 0.7318 0.5437 0.9051
Cl10 Cl 0.7568 0.2321 0.1001
Cl11 Cl 0.7719 0.7687 0.6759
Cl12 Cl 0.7771 0.0470 0.3739
Cl13 Cl 0.8235 0.8941 0.5016
Cl14 Cl 0.9826 0.2888 0.8108
```



Entry 4:
Simulated PXRD pattern of Sc6Pt5Au for Cu Ka, from a crystal structure in Alexandria, relaxed with PBE.
Lines closer than 0.1° are merged.

Peak list (10 most intense, 5° ≤ 2θ ≤ 70°, most intense first)
(6 0 0), 2.369 Å, 37.98°, rel. 100
(2 2 1), 2.341 Å, 38.45°, rel. 97
(4 2 -1), 2.326 Å, 38.71°, rel. 95
(2 0 1), 3.373 Å, 26.43°, rel. 49
(4 0 -1), 3.329 Å, 26.78°, rel. 47
(0 2 0), 3.252 Å, 27.42°, rel. 45
(6 2 0), 1.915 Å, 47.48°, rel. 43
(0 2 3), 1.365 Å, 68.75°, rel. 35
(6 2 -3), 1.356 Å, 69.27°, rel. 34
(4 0 2), 1.686 Å, 54.41°, rel. 18

Structural model:
```
data_Sc6Pt5Au
_space_group_name_H-M_alt 'C 1 2/m 1'
_space_group_IT_number 12
_space_group_name_Hall '-C 2y'
_cell_length_a 14.9165
_cell_length_b 6.5046
_cell_length_c 4.7425
_cell_angle_alpha 90.00
_cell_angle_beta 107.78
_cell_angle_gamma 90.00
loop_
_atom_site_label
_atom_site_type_symbol
_atom_site_fract_x
_atom_site_fract_y
_atom_site_fract_z
Sc1 Sc 0.0000 0.2444 0.0000
Sc2 Sc 0.1690 0.2473 0.6704
Pt1 Pt 0.0000 0.0000 0.5000
Pt2 Pt 0.1652 0.5000 0.1664
Pt3 Pt 0.1675 0.0000 0.1710
Au1 Au 0.0000 0.5000 0.5000
```



Entry 5:
Simulated PXRD pattern of Sc2TcH6 for Cu Ka, from a crystal structure in Alexandria, relaxed with PBE.
Lines closer than 0.1° are merged.

Peak list (7 most intense, 5° ≤ 2θ ≤ 70°, most intense first)
(2 2 0), 2.367 Å, 38.02°, rel. 100
(1 1 1), 3.865 Å, 23.01°, rel. 72
(3 1 1), 2.018 Å, 44.91°, rel. 36
(4 2 2), 1.366 Å, 68.70°, rel. 32
(4 0 0), 1.673 Å, 54.86°, rel. 18
(3 3 1), 1.536 Å, 60.27°, rel. 15
(2 0 0), 3.347 Å, 26.63°, rel. 1

Structural model:
```
data_Sc2TcH6
_space_group_name_H-M_alt 'F m -3 m'
_space_group_IT_number 225
_space_group_name_Hall '-F 4 2 3'
_cell_length_a 6.6937
_cell_length_b 6.6937
_cell_length_c 6.6937
_cell_angle_alpha 90.00
_cell_angle_beta 90.00
_cell_angle_gamma 90.00
loop_
_atom_site_label
_atom_site_type_symbol
_atom_site_fract_x
_atom_site_fract_y
_atom_site_fract_z
Sc1 Sc 0.2500 0.2500 0.2500
Tc1 Tc 0.0000 0.0000 0.0000
H1 H 0.0000 0.0000 0.2625
```



Entry 6:
Simulated PXRD pattern of TlHg2BiBr4 for Cu Ka, from a crystal structure in Alexandria, relaxed with PBE.
Lines closer than 0.1° are merged.

Peak list (10 most intense, 5° ≤ 2θ ≤ 70°, most intense first)
(2 1 0), 2.884 Å, 31.01°, rel. 100
(1 0 -1), 4.634 Å, 19.15°, rel. 85
(0 2 1), 3.516 Å, 25.33°, rel. 82
(1 1 2), 3.292 Å, 27.09°, rel. 80
(0 1 -1), 4.359 Å, 20.37°, rel. 66
(2 3 1), 2.230 Å, 40.45°, rel. 62
(1 1 -2), 2.910 Å, 30.73°, rel. 56
(1 3 2), 2.393 Å, 37.59°, rel. 51
(1 -1 2), 2.303 Å, 39.12°, rel. 45
(-1 1 3), 2.366 Å, 38.04°, rel. 43

Structural model:
```
data_TlHg2BiBr4
_space_group_name_H-M_alt 'P 1'
_space_group_IT_number 1
_space_group_name_Hall 'P 1'
_cell_length_a 5.7678
_cell_length_b 7.6454
_cell_length_c 8.0265
_cell_angle_alpha 72.33
_cell_angle_beta 89.99
_cell_angle_gamma 67.87
loop_
_atom_site_label
_atom_site_type_symbol
_atom_site_fract_x
_atom_site_fract_y
_atom_site_fract_z
Tl1 Tl 0.0000 0.0000 0.0000
Hg1 Hg 0.2477 0.5026 0.2241
Hg2 Hg 0.7861 0.4252 0.4157
Bi1 Bi 0.6165 0.7669 0.5946
Br1 Br 0.1081 0.7834 0.5680
Br2 Br 0.4563 0.0877 0.7156
Br3 Br 0.5013 0.9983 0.2238
Br4 Br 0.7603 0.4783 0.9347
```



Entry 7:
Simulated PXRD pattern of Mg2C for Cu Ka, from a crystal structure in Alexandria, relaxed with PBE.
Lines closer than 0.1° are merged.

Peak list (10 most intense, 5° ≤ 2θ ≤ 70°, most intense first)
(2 1 0), 2.474 Å, 36.31°, rel. 100
(2 2 0), 1.956 Å, 46.42°, rel. 41
(2 2 1), 1.844 Å, 49.42°, rel. 36
(3 1 2), 1.479 Å, 62.85°, rel. 35
(2 0 0), 2.766 Å, 32.36°, rel. 31
(2 1 1), 2.259 Å, 39.92°, rel. 25
(3 1 1), 1.668 Å, 55.05°, rel. 13
(1 1 1), 3.194 Å, 27.93°, rel. 7
(3 0 2), 1.534 Å, 60.32°, rel. 2
(2 2 2), 1.597 Å, 57.73°, rel. 1

Structural model:
```
data_Mg2C
_space_group_name_H-M_alt 'P a -3'
_space_group_IT_number 205
_space_group_name_Hall '-P 2ac 2ab 3'
_cell_length_a 5.5323
_cell_length_b 5.5323
_cell_length_c 5.5323
_cell_angle_alpha 90.00
_cell_angle_beta 90.00
_cell_angle_gamma 90.00
loop_
_atom_site_label
_atom_site_type_symbol
_atom_site_fract_x
_atom_site_fract_y
_atom_site_fract_z
Mg1 Mg 0.1831 0.1831 0.1831
C1 C 0.0000 0.0000 0.5000
```



Entry 8:
Simulated PXRD pattern of HoAl2Te6 for Cu Ka, from a crystal structure in Alexandria, relaxed with PBE.
Lines closer than 0.1° are merged.

Peak list (10 most intense, 5° ≤ 2θ ≤ 70°, most intense first)
(3 3 -1), 2.748 Å, 32.59°, rel. 100
(1 3 1), 3.000 Å, 29.78°, rel. 80
(2 0 2), 3.228 Å, 27.64°, rel. 78
(5 3 1), 2.090 Å, 43.30°, rel. 58
(4 0 0), 3.791 Å, 23.47°, rel. 56
(2 0 -2), 3.807 Å, 23.37°, rel. 49
(1 3 -3), 2.095 Å, 43.18°, rel. 46
(6 0 -2), 2.349 Å, 38.31°, rel. 38
(1 1 0), 8.442 Å, 10.48°, rel. 26
(1 3 -1), 3.096 Å, 28.84°, rel. 23

Structural model:
```
data_HoAl2Te6
_space_group_name_H-M_alt 'C 1 2/c 1'
_space_group_IT_number 15
_space_group_name_Hall '-C 2yc'
_cell_length_a 15.4772
_cell_length_b 10.1631
_cell_length_c 8.0013
_cell_angle_alpha 90.00
_cell_angle_beta 101.57
_cell_angle_gamma 90.00
loop_
_atom_site_label
_atom_site_type_symbol
_atom_site_fract_x
_atom_site_fract_y
_atom_site_fract_z
Ho1 Ho 0.0000 0.1148 0.2500
Al1 Al 0.2034 0.4198 0.3268
Te1 Te 0.1217 0.0846 0.6077
Te2 Te 0.1240 0.4096 0.5904
Te3 Te 0.1326 0.2530 0.0867
```



Entry 9:
Simulated PXRD pattern of Nd3P2N for Cu Ka, from a crystal structure in Alexandria, relaxed with PBE.
Lines closer than 0.1° are merged.

Peak list (10 most intense, 5° ≤ 2θ ≤ 70°, most intense first)
(2 0 2), 2.809 Å, 31.86°, rel. 100
(1 1 -2), 3.267 Å, 27.30°, rel. 75
(3 1 0), 3.310 Å, 26.93°, rel. 71
(2 2 2), 2.028 Å, 44.69°, rel. 70
(0 2 0), 2.931 Å, 30.50°, rel. 54
(1 1 4), 1.691 Å, 54.24°, rel. 22
(2 0 -4), 1.967 Å, 46.15°, rel. 19
(2 2 -4), 1.633 Å, 56.33°, rel. 19
(6 0 0), 2.006 Å, 45.21°, rel. 15
(6 2 0), 1.655 Å, 55.52°, rel. 15

Structural model:
```
data_Nd3P2N
_space_group_name_H-M_alt 'C 1 2/c 1'
_space_group_IT_number 15
_space_group_name_Hall '-C 2yc'
_cell_length_a 12.6660
_cell_length_b 5.8614
_cell_length_c 7.8682
_cell_angle_alpha 90.00
_cell_angle_beta 108.18
_cell_angle_gamma 90.00
loop_
_atom_site_label
_atom_site_type_symbol
_atom_site_fract_x
_atom_site_fract_y
_atom_site_fract_z
Nd1 Nd 0.0000 0.0441 0.2500
Nd2 Nd 0.1492 0.4989 0.5749
P1 P 0.1718 0.0044 0.0854
N1 N 0.0000 0.4493 0.2500
```



Entry 10:
Simulated PXRD pattern of La8Sm4Th for Cu Ka, from a crystal structure in Alexandria, relaxed with PBE.
Lines closer than 0.1° are merged.

Peak list (10 most intense, 5° ≤ 2θ ≤ 70°, most intense first)
(2 2 0), 2.977 Å, 30.02°, rel. 100
(2 2 3), 2.384 Å, 37.73°, rel. 38
(0 0 3), 3.983 Å, 22.32°, rel. 25
(1 1 3), 3.310 Å, 26.93°, rel. 22
(6 0 0), 1.719 Å, 53.30°, rel. 20
(2 2 6), 1.655 Å, 55.52°, rel. 18
(4 4 0), 1.488 Å, 62.39°, rel. 12
(0 2 4), 2.584 Å, 34.71°, rel. 12
(3 0 3), 2.602 Å, 34.47°, rel. 12
(6 0 3), 1.578 Å, 58.49°, rel. 10

Structural model:
```
data_La8Sm4Th
_space_group_name_H-M_alt 'R -3 m'
_space_group_IT_number 166
_space_group_name_Hall '-R 3 2"'
_cell_length_a 11.9072
_cell_length_b 11.9072
_cell_length_c 11.9477
_cell_angle_alpha 90.00
_cell_angle_beta 90.00
_cell_angle_gamma 120.00
loop_
_atom_site_label
_atom_site_type_symbol
_atom_site_fract_x
_atom_site_fract_y
_atom_site_fract_z
La1 La 0.0000 0.0000 0.2384
La2 La 0.0002 0.5001 0.3276
Sm1 Sm 0.0000 0.0000 0.0000
Sm2 Sm 0.0000 0.5000 0.0000
Th1 Th 0.0000 0.0000 0.5000
```



Entry 11:
Simulated PXRD pattern of NaMg2TiF8 for Cu Ka, from a crystal structure in Alexandria, relaxed with PBE.
Lines closer than 0.1° are merged.

Peak list (10 most intense, 5° ≤ 2θ ≤ 70°, most intense first)
(2 0 2), 2.328 Å, 38.68°, rel. 100
(0 2 0), 3.431 Å, 25.97°, rel. 88
(2 0 0), 3.417 Å, 26.08°, rel. 74
(1 3 2), 1.791 Å, 50.98°, rel. 68
(3 3 2), 1.439 Å, 64.79°, rel. 55
(3 1 2), 1.787 Å, 51.10°, rel. 48
(1 1 2), 2.656 Å, 33.75°, rel. 45
(0 0 1), 6.353 Å, 13.94°, rel. 29
(1 3 0), 2.169 Å, 41.64°, rel. 26
(1 1 1), 3.851 Å, 23.09°, rel. 26

Structural model:
```
data_NaMg2TiF8
_space_group_name_H-M_alt 'C m m m'
_space_group_IT_number 65
_space_group_name_Hall '-C 2 2'
_cell_length_a 6.8344
_cell_length_b 6.8617
_cell_length_c 6.3531
_cell_angle_alpha 90.00
_cell_angle_beta 90.00
_cell_angle_gamma 90.00
loop_
_atom_site_label
_atom_site_type_symbol
_atom_site_fract_x
_atom_site_fract_y
_atom_site_fract_z
Na1 Na 0.0000 0.0000 0.0000
Mg1 Mg 0.0000 0.5000 0.2445
Ti1 Ti 0.0000 0.0000 0.5000
F1 F 0.0000 0.3020 0.5000
F2 F 0.0000 0.3191 0.0000
F3 F 0.2067 0.0000 0.2841
```



Entry 12:
Simulated PXRD pattern of LaHRhAuS for Cu Ka, from a crystal structure in Alexandria, relaxed with PBE.
Lines closer than 0.1° are merged.

Peak list (10 most intense, 5° ≤ 2θ ≤ 70°, most intense first)
(1 1 0), 2.253 Å, 40.02°, rel. 100
(0 1 5), 2.570 Å, 34.92°, rel. 75
(1 0 4), 2.880 Å, 31.05°, rel. 65
(1 0 1), 3.804 Å, 23.38°, rel. 65
(1 1 6), 1.766 Å, 51.76°, rel. 52
(0 0 3), 5.690 Å, 15.57°, rel. 51
(0 0 6), 2.845 Å, 31.44°, rel. 35
(1 1 9), 1.451 Å, 64.18°, rel. 34
(0 1 2), 3.549 Å, 25.09°, rel. 34
(1 1 3), 2.095 Å, 43.19°, rel. 26

Structural model:
```
data_LaHRhAuS
_space_group_name_H-M_alt 'R 3 m'
_space_group_IT_number 160
_space_group_name_Hall 'R 3 -2"'
_cell_length_a 4.5062
_cell_length_b 4.5062
_cell_length_c 17.0711
_cell_angle_alpha 90.00
_cell_angle_beta 90.00
_cell_angle_gamma 120.00
loop_
_atom_site_label
_atom_site_type_symbol
_atom_site_fract_x
_atom_site_fract_y
_atom_site_fract_z
La1 La 0.0000 0.0000 0.0000
H1 H 0.0000 0.0000 0.6367
Rh1 Rh 0.0000 0.0000 0.5395
Au1 Au 0.0000 0.0000 0.2038
S1 S 0.0000 0.0000 0.4026
```